# BaNp3Se6
Calculated X-ray powder pattern, Cu Kα (weighted mean of Kα1 and Kα2). Input: a structure optimized by DFT (GGA-PBE).
Neutral-atom scattering factors, no anomalous dispersion.

Top 10 peaks for 10 to 80 degrees two-theta, in order of rising 2θ:
2theta	I (rel.)
12.55	84
22.82	41
25.57	58
26.05	44
28.67	100
31.40	64
38.22	40
42.42	83
43.68	49
44.18	51

Structural model:
a = 12.244 Å, b = 4.260 Å, c = 12.473 Å
α = 90.00°, β = 110.38°, γ = 90.00°
Atoms (fractional coordinates):
Ba (0.114, 0.250, 0.368)
Ba (0.886, 0.750, 0.632)
Np (0.158, 0.250, 0.037)
Np (0.270, 0.750, 0.727)
Np (0.481, 0.750, 0.365)
Np (0.519, 0.250, 0.635)
Np (0.730, 0.250, 0.273)
Np (0.842, 0.750, 0.963)
Se (0.065, 0.750, 0.141)
Se (0.104, 0.250, 0.635)
Se (0.243, 0.750, 0.941)
Se (0.331, 0.250, 0.260)
Se (0.346, 0.750, 0.526)
Se (0.428, 0.250, 0.810)
Se (0.572, 0.750, 0.190)
Se (0.654, 0.250, 0.474)
Se (0.669, 0.750, 0.740)
Se (0.757, 0.250, 0.059)
Se (0.896, 0.750, 0.365)
Se (0.935, 0.250, 0.859)